# 1
# Na2IBr6
Theoretical PXRD pattern, Cu Kα (weighted mean of Kα1 and Kα2). Input: the PBE geometry in Alexandria.
Intensities are scaled so that the largest is 1000.

Peak list (10 most intense, 5° ≤ 2θ ≤ 70°, by angle)
Position (°2θ)	d (Å)	I_rel
14.28	6.201	398
14.77	5.999	394
16.67	5.317	358
25.79	3.455	1000
28.45	3.137	571
28.58	3.123	329
29.21	3.058	315
33.71	2.658	341
35.53	2.526	414
41.83	2.160	639

Crystal structure
Cell lengths 7.215, 7.872, 13.295 Å; angles 90.00, 120.74, 90.00 degrees
Atoms (fractional coordinates):
Na 0.163 0.002 0.176
Na 0.163 0.498 0.676
Na 0.837 0.502 0.324
Na 0.837 0.998 0.824
I 0.000 0.000 0.500
I 0.000 0.500 0.000
Br 0.135 0.178 0.375
Br 0.135 0.322 0.875
Br 0.242 0.658 0.503
Br 0.242 0.842 0.003
Br 0.341 0.118 0.703
Br 0.341 0.382 0.203
Br 0.659 0.618 0.797
Br 0.659 0.882 0.297
Br 0.758 0.158 0.997
Br 0.758 0.342 0.497
Br 0.865 0.678 0.125
Br 0.865 0.822 0.625

=====

# 2
# Na2I3Br8
Theoretical PXRD pattern, Cu Kα (weighted mean of Kα1 and Kα2). Input: the PBE geometry in Alexandria.
Intensities are scaled so that the largest is 1000.

Peak list (10 most intense, 5° ≤ 2θ ≤ 70°, by angle)
Position (°2θ)	d (Å)	I_rel
11.62	7.619	407
17.26	5.137	500
18.10	4.901	1000
18.52	4.790	364
19.66	4.516	715
20.38	4.357	359
22.95	3.875	941
24.80	3.590	448
26.97	3.306	345
30.07	2.972	328

Crystal structure
Cell lengths 10.388, 10.388, 15.536 Å; angles 108.73, 108.73, 52.10 degrees
Atoms (fractional coordinates):
Na 0.055 0.159 0.090
Na 0.159 0.055 0.590
Na 0.841 0.945 0.410
Na 0.945 0.841 0.910
I 0.029 0.355 0.850
I 0.355 0.029 0.350
I 0.468 0.532 0.750
I 0.532 0.468 0.250
I 0.645 0.971 0.650
I 0.971 0.645 0.150
Br 0.036 0.246 0.285
Br 0.169 0.754 0.516
Br 0.197 0.327 0.086
Br 0.246 0.036 0.785
Br 0.246 0.831 0.984
Br 0.327 0.197 0.586
Br 0.340 0.623 0.380
Br 0.377 0.660 0.120
Br 0.623 0.340 0.880
Br 0.660 0.377 0.620
Br 0.673 0.803 0.414
Br 0.754 0.169 0.016
Br 0.754 0.964 0.215
Br 0.803 0.673 0.914
Br 0.831 0.246 0.484
Br 0.964 0.754 0.715

=====

# 3
# Na7IBr2O2
Theoretical PXRD pattern, Cu Kα (weighted mean of Kα1 and Kα2). Input: the PBE geometry in Alexandria.
Intensities are scaled so that the largest is 1000.

Peak list (10 most intense, 5° ≤ 2θ ≤ 70°, by angle)
Position (°2θ)	d (Å)	I_rel
19.47	4.559	459
26.45	3.370	1000
27.18	3.281	705
30.91	2.893	507
35.08	2.558	920
36.66	2.451	355
38.81	2.320	724
47.58	1.911	378
54.45	1.685	422
67.86	1.381	254

Crystal structure
Cell lengths 4.640, 4.640, 12.685 Å; angles 100.51, 100.51, 89.99 degrees
Atoms (fractional coordinates):
Na 0.000 0.000 0.000
Na 0.098 0.598 0.197
Na 0.189 0.189 0.381
Na 0.402 0.902 0.803
Na 0.598 0.098 0.197
Na 0.811 0.811 0.619
Na 0.902 0.402 0.803
I 0.500 0.500 0.000
Br 0.311 0.311 0.621
Br 0.689 0.689 0.379
O 0.097 0.097 0.195
O 0.903 0.903 0.805

=====

# 4
# NaPb2IBr4
Theoretical PXRD pattern, Cu Kα (weighted mean of Kα1 and Kα2). Input: the PBE geometry in Alexandria.
Intensities are scaled so that the largest is 1000.

Peak list (10 most intense, 5° ≤ 2θ ≤ 70°, by angle)
Position (°2θ)	d (Å)	I_rel
12.77	6.931	435
14.00	6.326	212
17.92	4.951	284
27.26	3.272	244
28.08	3.177	296
29.05	3.074	343
29.78	3.000	1000
34.23	2.620	272
38.00	2.368	209
42.44	2.130	199

Crystal structure
Cell lengths 14.314, 4.259, 10.295 Å; angles 90.00, 117.89, 90.00 degrees
Atoms (fractional coordinates):
Na 0.000 0.000 0.000
Na 0.500 0.500 0.000
Pb 0.185 0.000 0.747
Pb 0.315 0.500 0.253
Pb 0.685 0.500 0.747
Pb 0.815 0.000 0.253
I 0.000 0.500 0.500
I 0.500 0.000 0.500
Br 0.124 0.500 0.937
Br 0.184 0.000 0.293
Br 0.316 0.500 0.707
Br 0.376 0.000 0.063
Br 0.624 0.000 0.937
Br 0.684 0.500 0.293
Br 0.816 0.000 0.707
Br 0.876 0.500 0.063